# SnH12C4S2Cl4
Simulated powder X-ray diffraction pattern, λ = 1.5418 Å (Cu Kα). Input: a GGA-PBE-relaxed structure.
Lines closer than 0.1° are merged.

Peak list (10 most intense, 2θ = 10–80°, low angle first)
hkl 0 1 1, 2θ = 13.02°, intensity 100.0
hkl 0 2 0, 2θ = 14.01°, intensity 20.3
hkl 1 0 0, 2θ = 14.36°, intensity 27.3
hkl 1 1 -1, 2θ = 14.77°, intensity 73.6
hkl 1 0 -2, 2θ = 19.36°, intensity 24.5
hkl 1 2 0, 2θ = 20.11°, intensity 28.6
hkl 1 1 1, 2θ = 23.18°, intensity 13.0
hkl 1 3 1, 2θ = 30.71°, intensity 29.0
hkl 1 4 0, 2θ = 31.81°, intensity 15.5
hkl 2 1 -3, 2θ = 32.17°, intensity 20.8

Lattice parameters (Å, degrees): 7.121 12.643 9.316 90.00 119.98 90.00
Space group P2_1/c (No. 14)
Asymmetric unit:
Sn: 0.000 0.000 0.000 x2
H: 0.028 0.201 0.487 x4
H: 0.028 0.248 0.167 x4
H: 0.244 0.167 0.689 x4
H: 0.352 0.112 0.381 x4
H: 0.439 0.568 0.160 x4
H: 0.453 0.705 0.115 x4
C: 0.129 0.229 0.614 x4
C: 0.453 0.134 0.327 x4
S: 0.285 0.160 0.109 x4
Cl: 0.123 0.548 0.305 x4
Cl: 0.268 0.620 0.709 x4

---

# Al2SiO5
Simulated powder X-ray diffraction pattern, λ = 1.5418 Å (Cu Kα). Input: a GGA-PBE-relaxed structure.
Lines closer than 0.1° are merged.

Peak list (10 most intense, 2θ = 10–80°, low angle first)
hkl 1 1 0, 2θ = 15.81°, intensity 57.5
hkl 1 0 1, 2θ = 19.38°, intensity 100.0
hkl 1 1 1, 2θ = 22.42°, intensity 31.5
hkl 1 2 0, 2θ = 25.02°, intensity 18.3
hkl 2 2 0, 2θ = 31.92°, intensity 56.7
hkl 1 1 2, 2θ = 35.78°, intensity 22.5
hkl 0 2 2, 2θ = 39.23°, intensity 32.8
hkl 1 2 2, 2θ = 40.95°, intensity 17.0
hkl 3 2 0, 2θ = 41.13°, intensity 35.5
hkl 2 4 2, 2θ = 61.73°, intensity 37.4

Lattice parameters (Å, degrees): 7.875 7.978 5.614 90.00 90.00 90.00
Space group Pnnm (No. 58)
Asymmetric unit:
Al: 0.000 0.000 0.242 x4
Al: 0.130 0.361 0.000 x4
Si: 0.246 0.748 0.000 x4
O: 0.076 0.136 0.500 x4
O: 0.076 0.137 0.000 x4
O: 0.102 0.599 0.000 x4
O: 0.231 0.866 0.240 x8

---

# Pa3Si2Pt7
Simulated powder X-ray diffraction pattern, λ = 1.5418 Å (Cu Kα). Input: a GGA-PBE-relaxed structure.
Lines closer than 0.1° are merged.

Peak list (10 most intense, 2θ = 10–80°, low angle first)
hkl 0 0 10, 2θ = 32.10°, intensity 40.8
hkl 1 1 4, 2θ = 34.01°, intensity 41.0
hkl 1 0 9, 2θ = 36.63°, intensity 24.3
hkl 1 1 6, 2θ = 37.03°, intensity 100.0
hkl 1 0 11, 2θ = 42.17°, intensity 21.1
hkl 2 0 0, 2θ = 45.01°, intensity 57.7
hkl 2 0 12, 2θ = 60.91°, intensity 13.1
hkl 2 2 0, 2θ = 65.54°, intensity 19.2
hkl 1 1 18, 2θ = 69.11°, intensity 18.0
hkl 3 1 6, 2θ = 77.74°, intensity 24.2

Lattice parameters (Å, degrees): 4.029 4.029 27.838 90.00 90.00 90.00
Space group I4/mmm (No. 139)
Asymmetric unit:
Pa: 0.000 0.000 0.000 x2
Pa: 0.000 0.000 0.178 x4
Si: 0.000 0.000 0.371 x4
Pt: 0.000 0.000 0.283 x4
Pt: 0.000 0.000 0.500 x2
Pt: 0.000 0.500 0.080 x8

---

# Cs3Pb2Cl3F4
Simulated powder X-ray diffraction pattern, λ = 1.5418 Å (Cu Kα). Input: a GGA-PBE-relaxed structure.
Lines closer than 0.1° are merged.

Peak list (10 most intense, 2θ = 10–80°, low angle first)
hkl 0 0 4, 2θ = 13.04°, intensity 25.8
hkl 0 1 5, 2θ = 22.48°, intensity 76.4
hkl 1 1 0, 2θ = 24.06°, intensity 100.0
hkl 1 0 5, 2θ = 24.69°, intensity 83.1
hkl 0 2 0, 2θ = 31.00°, intensity 44.8
hkl 2 0 0, 2θ = 37.31°, intensity 26.9
hkl 1 2 5, 2θ = 40.03°, intensity 47.2
hkl 1 1 10, 2θ = 41.24°, intensity 31.3
hkl 2 1 5, 2θ = 44.00°, intensity 27.6
hkl 2 2 0, 2θ = 49.27°, intensity 23.7

Lattice parameters (Å, degrees): 4.820 5.769 27.159 90.00 90.00 90.00
Space group Immm (No. 71)
Asymmetric unit:
Cs: 0.000 0.000 0.000 x2
Cs: 0.000 0.000 0.194 x4
Pb: 0.000 0.000 0.384 x4
Cl: 0.000 0.000 0.500 x2
Cl: 0.000 0.500 0.397 x4
F: 0.000 0.000 0.299 x4
F: 0.000 0.500 0.130 x4

---

# CaCe2Pb9
Simulated powder X-ray diffraction pattern, λ = 1.5418 Å (Cu Kα). Input: a GGA-PBE-relaxed structure.
Lines closer than 0.1° are merged.

Peak list (10 most intense, 2θ = 10–80°, low angle first)
hkl 0 0 3, 2θ = 18.02°, intensity 4.9
hkl 1 0 3, 2θ = 25.59°, intensity 4.5
hkl 1 1 3, 2θ = 31.48°, intensity 100.0
hkl 0 0 6, 2θ = 36.42°, intensity 17.0
hkl 2 0 0, 2θ = 36.56°, intensity 33.8
hkl 2 0 6, 2θ = 52.56°, intensity 24.2
hkl 2 2 0, 2θ = 52.66°, intensity 12.1
hkl 1 1 9, 2θ = 62.47°, intensity 14.4
hkl 3 1 3, 2θ = 62.65°, intensity 28.9
hkl 2 2 6, 2θ = 65.72°, intensity 12.5

Lattice parameters (Å, degrees): 4.916 4.916 14.802 90.00 90.00 90.00
Space group P4/mmm (No. 123)
Asymmetric unit:
Ca: 0.000 0.000 0.000 x1
Ce: 0.000 0.000 0.338 x2
Pb: 0.000 0.500 0.167 x4
Pb: 0.000 0.500 0.500 x2
Pb: 0.500 0.500 0.000 x1
Pb: 0.500 0.500 0.333 x2

---

# PPd3Pb
Simulated powder X-ray diffraction pattern, λ = 1.5418 Å (Cu Kα). Input: a GGA-PBE-relaxed structure.
Lines closer than 0.1° are merged.

Peak list (10 most intense, 2θ = 10–80°, low angle first)
hkl 1 2 1, 2θ = 27.34°, intensity 27.2
hkl 0 3 1, 2θ = 31.37°, intensity 42.9
hkl 0 2 2, 2θ = 33.02°, intensity 99.5
hkl 2 2 0, 2θ = 34.87°, intensity 100.0
hkl 0 4 0, 2θ = 37.96°, intensity 25.8
hkl 2 0 2, 2θ = 40.12°, intensity 98.0
hkl 2 4 0, 2θ = 48.56°, intensity 22.5
hkl 2 4 2, 2θ = 56.41°, intensity 27.0
hkl 2 3 3, 2θ = 59.34°, intensity 25.5
hkl 4 2 2, 2θ = 70.62°, intensity 22.1

Lattice parameters (Å, degrees): 6.127 9.482 6.617 90.00 90.00 90.00
Space group Imma (No. 74)
Asymmetric unit:
P: 0.000 0.000 0.000 x4
Pd: 0.000 0.250 0.006 x4
Pd: 0.250 0.061 0.250 x8
Pb: 0.000 0.250 0.545 x4

---

# U5Ge3
Simulated powder X-ray diffraction pattern, λ = 1.5418 Å (Cu Kα). Input: a GGA-PBE-relaxed structure.
Lines closer than 0.1° are merged.

Peak list (10 most intense, 2θ = 10–80°, low angle first)
hkl 1 3 1, 2θ = 23.34°, intensity 100.0
hkl 0 4 4, 2θ = 32.71°, intensity 29.1
hkl 2 0 2, 2θ = 33.48°, intensity 39.5
hkl 1 1 5, 2θ = 34.54°, intensity 29.7
hkl 0 6 2, 2θ = 35.25°, intensity 66.4
hkl 1 5 3, 2θ = 36.58°, intensity 23.2
hkl 1 3 5, 2θ = 38.01°, intensity 50.0
hkl 2 2 4, 2θ = 41.33°, intensity 21.9
hkl 2 6 0, 2θ = 46.00°, intensity 56.9
hkl 3 1 3, 2θ = 51.53°, intensity 20.1

Lattice parameters (Å, degrees): 5.742 16.285 14.795 90.00 90.00 90.00
Space group Fdd2 (No. 43)
Asymmetric unit:
U: 0.000 0.000 0.000 x8
U: 0.049 0.335 0.120 x16
U: 0.052 0.171 0.424 x16
Ge: 0.000 0.000 0.523 x8
Ge: 0.003 0.324 0.524 x16

---

# YHo2Zn9
Simulated powder X-ray diffraction pattern, λ = 1.5418 Å (Cu Kα). Input: a GGA-PBE-relaxed structure.
Lines closer than 0.1° are merged.

Peak list (10 most intense, 2θ = 10–80°, low angle first)
hkl 1 0 7, 2θ = 30.94°, intensity 36.4
hkl 1 1 0, 2θ = 32.98°, intensity 50.0
hkl 0 1 8, 2θ = 33.84°, intensity 35.4
hkl 0 2 1, 2θ = 38.44°, intensity 38.3
hkl 1 1 6, 2θ = 39.31°, intensity 100.0
hkl 0 0 12, 2θ = 42.28°, intensity 40.1
hkl 0 1 11, 2θ = 43.32°, intensity 21.8
hkl 3 0 6, 2θ = 63.17°, intensity 23.7
hkl 2 0 14, 2θ = 64.44°, intensity 23.2
hkl 2 2 0, 2θ = 69.19°, intensity 25.9

Lattice parameters (Å, degrees): 5.4313 5.4313 25.6431 90.00 90.00 120.00
Space group R-3m (No. 166, hexagonal axes)
Asymmetric unit:
Y: 0.0000 0.0000 0.0000 x3
Ho: 0.0000 0.0000 0.1398 x6
Zn: 0.0000 0.0000 0.3349 x6
Zn: 0.0000 0.0000 0.5000 x3
Zn: 0.0060 0.5030 0.9174 x18